[1]
# Na3Ce5Cl18
Theoretical X-ray diffraction stick pattern, Cu Ka. Input: a cell relaxed with GGA-PBE.
No peak broadening, texture or thermal motion is included.

Structure:
```
26
Lattice="7.6045 0.0000 0.0000 -3.8023 6.5857 0.0000 0.0000 0.0000 13.0133" Properties=species:S:1:pos:R:3 pbc="T T T"
Na 0.0000 0.0000 0.0000
Na 3.8023 2.1952 1.7910
Na 3.8023 2.1952 11.2223
Ce 0.0000 0.0000 4.3537
Ce 0.0000 0.0000 8.6596
Ce 0.0000 4.3905 2.1557
Ce 0.0000 4.3905 6.5066
Ce 0.0000 4.3905 10.8576
Cl -1.9791 4.0623 0.0000
Cl -1.9803 4.2051 4.3662
Cl -1.9803 4.2051 8.6471
Cl 1.9732 0.1829 6.5066
Cl 2.0183 0.1412 2.2654
Cl 2.0183 0.1412 10.7479
Cl 1.1507 2.7682 4.3662
Cl 1.1507 2.7682 8.6471
Cl 1.2737 2.8406 0.0000
Cl 0.7053 6.2685 0.0000
Cl 0.8296 6.1981 4.3662
Cl 0.8296 6.1981 8.6471
Cl 2.9154 4.7672 2.2654
Cl 2.9154 4.7672 10.7479
Cl 2.9741 4.7854 6.5066
Cl 6.4595 1.6174 6.5066
Cl 6.4731 1.6773 2.2654
Cl 6.4731 1.6773 10.7479
```

Most intense lines, 2θ from 10° to 90°, sorted by position:
- 2θ 13.44, d 6.586, I = 88
- 2θ 15.08, d 5.876, I = 20
- 2θ 23.40, d 3.802, I = 44
- 2θ 24.57, d 3.623, I = 57
- 2θ 31.28, d 2.859, I = 36
- 2θ 34.19, d 2.623, I = 100
- 2θ 36.08, d 2.489, I = 19
- 2θ 41.12, d 2.195, I = 40
- 2θ 41.64, d 2.169, I = 23
- 2θ 41.84, d 2.159, I = 78
- 2θ 59.96, d 1.543, I = 24
- 2θ 65.41, d 1.427, I = 30

***

[2]
# Na3CeCl6
Theoretical X-ray diffraction stick pattern, Cu Ka. Input: a cell relaxed with GGA-PBE.
No peak broadening, texture or thermal motion is included.

Structure:
```
10
Lattice="0.0000 5.4334 5.4334 5.4334 0.0000 5.4334 5.4334 5.4334 0.0000" Properties=species:S:1:pos:R:3 pbc="T T T"
Na 0.0000 0.0000 0.0000
Na 2.7167 2.7167 2.7167
Na 8.1500 8.1500 8.1500
Ce 5.4334 5.4334 5.4334
Cl 5.4334 5.4334 2.7080
Cl 5.4334 2.7080 5.4334
Cl 8.1588 5.4334 5.4334
Cl 2.7080 5.4334 5.4334
Cl 5.4334 8.1588 5.4334
Cl 5.4334 5.4334 8.1588
```

Most intense lines, 2θ from 10° to 90°, sorted by position:
- 2θ 14.12, d 6.274, I = 63
- 2θ 16.31, d 5.433, I = 100
- 2θ 23.15, d 3.842, I = 45
- 2θ 27.22, d 3.276, I = 42
- 2θ 32.97, d 2.717, I = 88
- 2θ 36.03, d 2.493, I = 20
- 2θ 37.00, d 2.430, I = 48
- 2θ 40.67, d 2.218, I = 22
- 2θ 47.32, d 1.921, I = 59
- 2θ 50.38, d 1.811, I = 24
- 2θ 58.88, d 1.568, I = 19
- 2θ 78.77, d 1.215, I = 24

***

[3]
# Rb2NaCeCl6
Theoretical X-ray diffraction stick pattern, Cu Ka. Input: a cell relaxed with GGA-PBE.
No peak broadening, texture or thermal motion is included.

Structure:
```
10
Lattice="0.0000 5.5045 5.5045 5.5045 0.0000 5.5045 5.5045 5.5045 0.0000" Properties=species:S:1:pos:R:3 pbc="T T T"
Rb 2.7522 2.7522 2.7522
Rb 8.2567 8.2567 8.2567
Na 0.0000 0.0000 0.0000
Ce 5.5045 5.5045 5.5045
Cl 5.5045 5.5045 2.7642
Cl 5.5045 2.7642 5.5045
Cl 8.2448 5.5045 5.5045
Cl 2.7642 5.5045 5.5045
Cl 5.5045 8.2448 5.5045
Cl 5.5045 5.5045 8.2448
```

Most intense lines, 2θ from 10° to 90°, sorted by position:
- 2θ 13.93, d 6.356, I = 40
- 2θ 22.85, d 3.892, I = 100
- 2θ 26.86, d 3.319, I = 25
- 2θ 28.08, d 3.178, I = 31
- 2θ 32.53, d 2.752, I = 91
- 2θ 40.13, d 2.247, I = 47
- 2θ 46.67, d 1.946, I = 62
- 2θ 52.58, d 1.741, I = 22
- 2θ 58.05, d 1.589, I = 21
- 2θ 63.21, d 1.471, I = 25
- 2θ 77.56, d 1.231, I = 26
- 2θ 86.65, d 1.124, I = 20

***

[4]
# CeCl3O3
Theoretical X-ray diffraction stick pattern, Cu Ka. Input: a cell relaxed with GGA-PBE.
No peak broadening, texture or thermal motion is included.

Structure:
```
28
Lattice="6.2271 0.0000 0.0000 0.0021 8.6773 0.0000 0.0233 0.0332 13.5227" Properties=species:S:1:pos:R:3 pbc="T T T"
Ce 0.0000 0.0000 0.0000
Ce 0.8439 4.3416 0.8673
Ce 3.1225 4.3583 7.6278
Ce 3.9672 8.6933 6.7638
Cl 1.5280 1.6908 1.6360
Cl 1.5306 6.9921 1.6364
Cl 1.5799 0.0310 11.4658
Cl 2.3994 0.0132 4.7118
Cl 2.4403 1.7107 8.3988
Cl 2.4422 7.0042 8.4005
Cl 4.6512 2.6629 5.9934
Cl 4.6499 6.0453 5.9855
Cl 4.6918 4.3618 9.6779
Cl 5.5097 4.3438 2.9254
Cl 5.5637 2.6833 12.7559
Cl 5.5641 6.0599 12.7527
O 1.3179 4.3620 7.3000
O 1.8589 3.7532 11.3780
O 1.8611 4.9798 11.3863
O 2.1227 4.9615 4.6220
O 2.1246 3.7354 4.6083
O 2.6465 4.3451 0.5379
O 4.4208 8.6693 0.3307
O 4.9561 0.6459 9.7914
O 4.9794 8.0983 9.7587
O 5.2309 8.0752 3.0012
O 5.2370 0.6244 3.0153
O 5.7782 8.6793 7.0895
```

Most intense lines, 2θ from 10° to 90°, sorted by position:
- 2θ 13.09, d 6.761, I = 53
- 2θ 15.67, d 5.656, I = 100
- 2θ 20.47, d 4.339, I = 31
- 2θ 21.94, d 4.051, I = 13
- 2θ 24.38, d 3.651, I = 17
- 2θ 25.88, d 3.443, I = 26
- 2θ 28.33, d 3.150, I = 15
- 2θ 30.08, d 2.971, I = 25
- 2θ 33.61, d 2.667, I = 15
- 2θ 33.70, d 2.659, I = 12
- 2θ 37.98, d 2.369, I = 15
- 2θ 46.97, d 1.934, I = 11